No. 1
The following is a theoretical powder XRD pattern of GaAu4. It was derived from a GGA-PBE-relaxed structure, using Cu Kα X-rays.

The 12 most intense peaks (5 to 70 degrees two-theta), low angle first:
d (Å)	2theta	I (rel.)
5.549	16.0	9
2.826	31.7	40
2.774	32.3	20
2.293	39.3	100
2.107	42.9	22
2.028	44.7	19
1.850	49.3	10
1.678	54.7	9
1.637	56.2	8
1.461	63.7	14
1.393	67.2	14
1.390	67.4	8

Structure:
Cell lengths 5.9077, 5.9077, 4.2130 Å; angles 90.00, 90.00, 139.84 degrees
Sites, in units of the cell vectors:
Ga1 0.0000 0.0000 0.0000
Au1 0.1446 0.8554 0.5000
Au2 0.3444 0.6556 0.0000
Au3 0.6556 0.3444 0.0000
Au4 0.8554 0.1446 0.5000

No. 2
The following is a theoretical powder XRD pattern of Na2MgZn2Cd5. It was derived from a GGA-PBE-relaxed structure, using Cu Kα X-rays.

The 12 most intense peaks (5 to 70 degrees two-theta), low angle first:
d (Å)	2theta	I (rel.)
4.884	18.2	39
3.840	23.2	25
2.723	32.9	15
2.649	33.8	33
2.569	34.9	100
2.378	37.8	43
2.225	40.5	22
2.180	41.4	24
1.920	47.3	18
1.627	56.6	17
1.554	59.5	12
1.544	59.9	11

Structure:
Cell lengths 10.9210, 10.9210, 3.8398 Å; angles 90.00, 90.00, 90.00 degrees
Sites, in units of the cell vectors:
Na1 0.1754 0.3246 0.0000
Na2 0.3246 0.8246 0.0000
Na3 0.6754 0.1754 0.0000
Na4 0.8246 0.6754 0.0000
Mg1 0.0000 0.0000 0.0000
Mg2 0.5000 0.5000 0.0000
Zn1 0.1277 0.6277 0.0000
Zn2 0.3723 0.1277 0.0000
Zn3 0.6277 0.8723 0.0000
Zn4 0.8723 0.3723 0.0000
Cd1 0.0000 0.5000 0.5000
Cd2 0.0578 0.7996 0.5000
Cd3 0.2004 0.0578 0.5000
Cd4 0.2996 0.5578 0.5000
Cd5 0.4422 0.2996 0.5000
Cd6 0.5000 0.0000 0.5000
Cd7 0.5578 0.7004 0.5000
Cd8 0.7004 0.4422 0.5000
Cd9 0.7996 0.9422 0.5000
Cd10 0.9422 0.2004 0.5000